Starting from a DFT-relaxed cell (PBE, OQMD), the X-ray powder pattern of Ba2HoOsS6 was computed for λ = 1.5418 Å (Cu Kα).
No peak broadening, texture or thermal motion is included.

Main lines, sorted by position (10 to 80 degrees two-theta):
2θ 25.25, intensity 100
2θ 25.59, intensity 55
2θ 36.51, intensity 39
2θ 44.28, intensity 25
2θ 44.91, intensity 50
2θ 51.84, intensity 28

Atomic structure:
Cell: 6.9609 6.9609 10.1137 Å, 90.00 90.00 90.00°
Space group I4/m (No. 87)
Unique sites:
Ba1 0.0000 0.5000 0.2500 [4 per cell]
Ho1 0.0000 0.0000 0.0000 [2 per cell]
Os1 0.0000 0.0000 0.5000 [2 per cell]
S1 0.0000 0.0000 0.2638 [4 per cell]
S2 0.1888 0.2834 0.5000 [8 per cell]